No. 1
Starting from a crystal structure in the Materials Project, relaxed with PBE, the powder XRD pattern of TiCrB2Ir2 was computed for Cu Ka.
Intensities are scaled so that the largest is 100.

Peak list (6 most intense, 10 to 90 degrees two-theta, by angle)
2θ (°), Rel. int., (hkl)
11.90, 38, 0 2 0
27.94, 37, 1 0 0
31.85, 43, 0 1 3
42.10, 44, 0 6 2
42.87, 100, 1 4 2
43.91, 33, 0 7 1

Cell and atoms:
```
data_TiCrB2Ir2
_chemical_formula_sum 'Ti6 Cr6 B12 Ir12'
_symmetry_space_group_name_H-M 'A m m 2'
_symmetry_Int_Tables_number 38
_cell_length_a 3.1937
_cell_length_b 14.8706
_cell_length_c 8.5842
_cell_angle_alpha 90.00
_cell_angle_beta 90.00
_cell_angle_gamma 90.00
loop_
_symmetry_equiv_pos_as_xyz
'x,y,z'
'-x,-y,z'
'-x,y,z'
'x,-y,z'
'x,y+1/2,z+1/2'
'-x,-y+1/2,z+1/2'
'-x,y+1/2,z+1/2'
'x,-y+1/2,z+1/2'
loop_
_atom_site_label
_atom_site_fract_x
_atom_site_fract_y
_atom_site_fract_z
Ti1 0.0000 0.0000 0.0000
Ti2 0.0000 0.2052 0.6156
Cr1 0.0000 0.0000 0.5800
Cr2 0.0000 0.0852 0.3260
B1 0.0000 0.1665 0.9105
B2 0.5000 0.0000 0.2077
B3 0.5000 0.0000 0.4102
B4 0.5000 0.1014 0.5119
Ir1 0.5000 0.0923 0.7794
Ir2 0.5000 0.1384 0.0873
Ir3 0.5000 0.2308 0.3644
```

No. 2
Starting from a crystal structure in the Materials Project, relaxed with PBE, the powder XRD pattern of LuCrB4 was computed for Cu Ka.
Intensities are scaled so that the largest is 100.

Peak list (6 most intense, 10 to 90 degrees two-theta, by angle)
2θ (°), Rel. int., (hkl)
21.79, 36, 1 2 0
26.26, 69, 0 0 1
28.07, 40, 1 3 0
31.50, 93, 2 1 0
38.82, 54, 1 3 1
41.46, 100, 2 1 1

Cell and atoms:
```
data_LuCrB4
_chemical_formula_sum 'Lu4 Cr4 B16'
_symmetry_space_group_name_H-M 'P b a m'
_symmetry_Int_Tables_number 55
_cell_length_a 5.8704
_cell_length_b 11.3451
_cell_length_c 3.3935
_cell_angle_alpha 90.00
_cell_angle_beta 90.00
_cell_angle_gamma 90.00
loop_
_symmetry_equiv_pos_as_xyz
'x,y,z'
'-x,-y,-z'
'-x,-y,z'
'x,y,-z'
'x+1/2,-y+1/2,-z'
'-x+1/2,y+1/2,z'
'-x+1/2,y+1/2,-z'
'x+1/2,-y+1/2,z'
loop_
_atom_site_label
_atom_site_fract_x
_atom_site_fract_y
_atom_site_fract_z
Lu1 0.1258 0.1508 0.0000
Cr1 0.1236 0.4201 0.0000
B1 0.0239 0.6926 0.5000
B2 0.1143 0.5472 0.5000
B3 0.1350 0.9674 0.5000
B4 0.2164 0.8152 0.5000
```